Calculated X-ray powder pattern
Compound: Pr10NdDy6
Radiation: λ = 1.5418 Å (Cu Kα)
Structure: a PBE-relaxed structure
Kinematic intensities with the Lorentz-polarization factor, no thermal factor.

Atomic structure:
```
Pr10NdDy6
1.0
9.9360 0.0000 0.0000
-4.9680 8.6048 0.0000
0.0000 0.0000 6.9758
Pr Nd Dy
10 1 6
Cartesian
-1.3744 2.3806 1.2653 Pr
-3.5936 6.2243 5.7104 Pr
2.7488 0.0000 1.2653 Pr
1.3744 2.3806 5.7104 Pr
0.0000 5.7366 0.0000 Pr
0.0000 5.7366 3.4879 Pr
4.9680 2.8683 0.0000 Pr
4.9680 2.8683 3.4879 Pr
7.1872 0.0000 5.7104 Pr
3.5936 6.2243 1.2653 Pr
0.0000 0.0000 3.4879 Nd
-1.8361 3.1803 4.8065 Dy
-3.1319 5.4245 2.1693 Dy
3.6723 0.0000 4.8065 Dy
1.8361 3.1803 2.1693 Dy
6.2637 0.0000 2.1693 Dy
3.1319 5.4245 4.8065 Dy
```

Peak list (12 most intense, 10 to 90 degrees two-theta, by intensity)
d (Å)	2θ/deg	intensity
2.855	31.34	100
2.868	31.18	81
2.948	30.32	39
2.023	44.79	27
1.654	55.56	26
1.645	55.87	19
1.899	47.89	13
1.509	61.45	11
2.258	39.93	10
1.584	58.26	9
3.662	24.31	9
1.665	55.15	8